For V2AsC, a structure optimized by DFT (PBE) gives the calculated PXRD pattern in this record (a wavelength of 1.5418 Å).
Peak positions follow from Bragg's law for the DFT cell and can differ from measured ones.

Structural model:
Cell lengths 3.1115, 3.1115, 11.4137 Å; angles 90.00, 90.00, 120.00 degrees
Fractional positions:
V1 0.3333 0.6667 0.0910
V2 0.3333 0.6667 0.4090
V3 0.6667 0.3333 0.5910
V4 0.6667 0.3333 0.9090
As1 0.3333 0.6667 0.7500
As2 0.6667 0.3333 0.2500
C1 0.0000 0.0000 0.0000
C2 0.0000 0.0000 0.5000

Peak list (10 most intense, 15° ≤ 2θ ≤ 90°, by angle)
| two_theta | I (rel.) | hkl |
| --- | --- | --- |
| 33.2 | 23.9 | 1 0 0 |
| 36.9 | 4.7 | 1 0 2 |
| 41.0 | 100.0 | 1 0 3 |
| 47.8 | 12.0 | 0 0 6 |
| 52.5 | 4.0 | 1 0 5 |
| 59.4 | 35.3 | 1 1 0 |
| 74.7 | 15.3 | 2 0 3 |
| 79.6 | 15.0 | 1 1 6 |
| 84.4 | 10.1 | 1 0 9 |
| 89.0 | 3.8 | 2 0 6 |



For V5As3C, a structure optimized by DFT (PBE) gives the calculated PXRD pattern in this record (a wavelength of 1.5418 Å).
Peak positions follow from Bragg's law for the DFT cell and can differ from measured ones.

Structural model:
Cell lengths 7.1457, 7.1457, 5.2447 Å; angles 90.00, 90.00, 120.00 degrees
Fractional positions:
V1 0.0000 0.2227 0.2500
V2 0.0000 0.7773 0.7500
V3 0.2227 0.0000 0.2500
V4 0.2227 0.2227 0.7500
V5 0.3333 0.6667 0.0000
V6 0.3333 0.6667 0.5000
V7 0.6667 0.3333 0.0000
V8 0.6667 0.3333 0.5000
V9 0.7773 0.0000 0.7500
V10 0.7773 0.7773 0.2500
As1 0.0000 0.4022 0.7500
As2 0.0000 0.5978 0.2500
As3 0.4022 0.0000 0.7500
As4 0.4022 0.4022 0.2500
As5 0.5978 0.0000 0.2500
As6 0.5978 0.5978 0.7500
C1 0.0000 0.0000 0.0000
C2 0.0000 0.0000 0.5000

Peak list (10 most intense, 15° ≤ 2θ ≤ 90°, by angle)
| two_theta | I (rel.) | hkl |
| --- | --- | --- |
| 30.3 | 17.8 | 1 1 1 |
| 34.2 | 25.2 | 0 0 2 |
| 38.5 | 20.9 | 2 1 0 |
| 42.3 | 100.0 | 2 1 1 |
| 42.8 | 61.8 | 1 1 2 |
| 43.9 | 26.1 | 3 0 0 |
| 45.3 | 14.5 | 2 0 2 |
| 56.4 | 16.7 | 3 1 1 |
| 66.8 | 23.7 | 2 1 3 |
| 87.1 | 20.4 | 5 0 2 |